[1]
# NaCl
Simulated X-ray diffraction stick pattern, CuKα. Input: DFT lattice parameters and positions (PBE).
Peak positions follow from Bragg's law for the DFT cell and can differ from measured ones.

Crystal structure
Lattice parameters (Å, degrees): 6.7996 6.7996 7.0948 90.00 90.00 120.00
Space group P-62m (No. 189)
Inequivalent atoms, fractional coordinates:
Na 0.0000 0.3366 0.0000 (multiplicity 3)
Na 0.0000 0.6692 0.5000 (multiplicity 3)
Cl 0.0000 0.0000 0.2491 (multiplicity 2)
Cl 0.3333 0.6667 0.2504 (multiplicity 4)

Peak list (10 most intense, 15 to 90 degrees two-theta, by intensity)
2θ 36.61, rel. 100
2θ 46.25, rel. 38
2θ 29.13, rel. 38
2θ 26.21, rel. 34
2θ 60.38, rel. 19
2θ 71.72, rel. 17
2θ 79.30, rel. 17
2θ 46.79, rel. 9
2θ 51.52, rel. 9
2θ 87.30, rel. 7

[2]
# Na2Cl
Simulated X-ray diffraction stick pattern, CuKα. Input: DFT lattice parameters and positions (PBE).
Peak positions follow from Bragg's law for the DFT cell and can differ from measured ones.

Crystal structure
Lattice parameters (Å, degrees): 3.926 7.098 13.755 90.00 90.00 90.00
Space group Imma (No. 74)
Inequivalent atoms, fractional coordinates:
Na 0.000 0.013 0.144 (multiplicity 8)
Cl 0.000 0.250 0.605 (multiplicity 4)

Peak list (10 most intense, 15 to 90 degrees two-theta, by intensity)
2θ 34.69, rel. 100
2θ 25.91, rel. 94
2θ 29.05, rel. 74
2θ 39.47, rel. 68
2θ 23.09, rel. 47
2θ 58.57, rel. 26
2θ 46.25, rel. 22
2θ 53.77, rel. 21
2θ 47.82, rel. 21
2θ 29.96, rel. 21

[3]
# Na2Cl
Simulated X-ray diffraction stick pattern, CuKα. Input: DFT lattice parameters and positions (PBE).
Peak positions follow from Bragg's law for the DFT cell and can differ from measured ones.

Crystal structure
Lattice parameters (Å, degrees): 3.9348 3.9348 20.1872 90.00 90.00 120.00
Space group R-3m (No. 166, hexagonal axes)
Inequivalent atoms, fractional coordinates:
Na 0.0000 0.0000 0.2489 (multiplicity 6)
Cl 0.0000 0.0000 0.0000 (multiplicity 3)

Peak list (10 most intense, 15 to 90 degrees two-theta, by intensity)
2θ 31.68, rel. 100
2θ 44.69, rel. 35
2θ 26.53, rel. 32
2θ 46.14, rel. 32
2θ 57.05, rel. 18
2θ 34.44, rel. 15
2θ 74.16, rel. 13
2θ 76.30, rel. 13
2θ 66.17, rel. 11
2θ 84.44, rel. 10

[4]
# Na3Cl
Simulated X-ray diffraction stick pattern, CuKα. Input: DFT lattice parameters and positions (PBE).
Peak positions follow from Bragg's law for the DFT cell and can differ from measured ones.

Crystal structure
Lattice parameters (Å, degrees): 3.566 3.566 9.352 90.00 90.00 90.00
Space group P4/mmm (No. 123)
Inequivalent atoms, fractional coordinates:
Na 0.000 0.000 0.000 (multiplicity 1)
Na 0.500 0.500 0.318 (multiplicity 2)
Cl 0.000 0.000 0.500 (multiplicity 1)

Peak list (10 most intense, 15 to 90 degrees two-theta, by intensity)
2θ 31.55, rel. 100
2θ 35.61, rel. 49
2θ 61.43, rel. 24
2θ 38.35, rel. 22
2θ 46.45, rel. 16
2θ 51.24, rel. 16
2θ 18.98, rel. 10
2θ 71.11, rel. 9
2θ 71.63, rel. 8
2θ 65.78, rel. 7

[5]
# Na2Cl
Simulated X-ray diffraction stick pattern, CuKα. Input: DFT lattice parameters and positions (PBE).
Peak positions follow from Bragg's law for the DFT cell and can differ from measured ones.

Crystal structure
Lattice parameters (Å, degrees): 3.556 3.556 12.593 90.00 90.00 90.00
Space group P4/mmm (No. 123)
Inequivalent atoms, fractional coordinates:
Na 0.000 0.000 0.000 (multiplicity 1)
Na 0.000 0.000 0.273 (multiplicity 2)
Na 0.500 0.500 0.500 (multiplicity 1)
Cl 0.500 0.500 0.141 (multiplicity 2)

Peak list (10 most intense, 15 to 90 degrees two-theta, by intensity)
2θ 33.01, rel. 100
2θ 35.70, rel. 68
2θ 38.18, rel. 42
2θ 62.45, rel. 26
2θ 51.38, rel. 24
2θ 65.79, rel. 14
2θ 21.17, rel. 10
2θ 28.83, rel. 9
2θ 63.59, rel. 9
2θ 86.55, rel. 8

[6]
# NaCl3
Simulated X-ray diffraction stick pattern, CuKα. Input: DFT lattice parameters and positions (PBE).
Peak positions follow from Bragg's law for the DFT cell and can differ from measured ones.

Crystal structure
Lattice parameters (Å, degrees): 8.420 6.194 7.840 90.00 90.00 90.00
Space group Pnma (No. 62)
Inequivalent atoms, fractional coordinates:
Na 0.163 0.250 0.023 (multiplicity 4)
Cl 0.075 0.750 0.279 (multiplicity 4)
Cl 0.123 0.250 0.539 (multiplicity 4)
Cl 0.156 0.750 0.838 (multiplicity 4)

Peak list (10 most intense, 15 to 90 degrees two-theta, by intensity)
2θ 34.45, rel. 100
2θ 28.83, rel. 83
2θ 28.97, rel. 38
2θ 28.04, rel. 24
2θ 54.78, rel. 22
2θ 21.11, rel. 14
2θ 42.97, rel. 14
2θ 42.20, rel. 13
2θ 56.62, rel. 13
2θ 47.62, rel. 11

[7]
# NaCl
Simulated X-ray diffraction stick pattern, CuKα. Input: DFT lattice parameters and positions (PBE).
Peak positions follow from Bragg's law for the DFT cell and can differ from measured ones.

Crystal structure
Lattice parameters (Å, degrees): 3.502 3.502 3.502 90.00 90.00 90.00
Space group Pm-3m (No. 221)
Inequivalent atoms, fractional coordinates:
Na 0.000 0.000 0.000 (multiplicity 1)
Cl 0.500 0.500 0.500 (multiplicity 1)

Peak list (9 most intense, 15 to 90 degrees two-theta, by intensity)
2θ 36.28, rel. 100
2θ 65.26, rel. 29
2θ 52.24, rel. 15
2θ 88.23, rel. 12
2θ 77.01, rel. 9
2θ 25.43, rel. 6
2θ 58.97, rel. 1
2θ 44.82, rel. 1
2θ 82.66, rel. 1

[8]
# Na2Cl
Simulated X-ray diffraction stick pattern, CuKα. Input: DFT lattice parameters and positions (PBE).
Peak positions follow from Bragg's law for the DFT cell and can differ from measured ones.

Crystal structure
Lattice parameters (Å, degrees): 6.432 13.264 4.027 90.00 90.00 90.00
Space group Cmmm (No. 65)
Inequivalent atoms, fractional coordinates:
Na 0.000 0.000 0.000 (multiplicity 2)
Na 0.000 0.196 0.500 (multiplicity 4)
Na 0.000 0.500 0.500 (multiplicity 2)
Cl 0.000 0.341 0.000 (multiplicity 4)

Peak list (10 most intense, 15 to 90 degrees two-theta, by intensity)
2θ 33.16, rel. 100
2θ 27.74, rel. 46
2θ 52.61, rel. 23
2θ 53.71, rel. 12
2θ 45.02, rel. 11
2θ 50.07, rel. 10
2θ 40.82, rel. 10
2θ 69.62, rel. 9
2θ 75.47, rel. 9
2θ 15.31, rel. 8

[9]
# Na3Cl2
Simulated X-ray diffraction stick pattern, CuKα. Input: DFT lattice parameters and positions (PBE).
Peak positions follow from Bragg's law for the DFT cell and can differ from measured ones.

Crystal structure
Lattice parameters (Å, degrees): 3.520 20.341 3.528 90.00 90.00 90.00
Space group Cmmm (No. 65)
Inequivalent atoms, fractional coordinates:
Na 0.000 0.000 0.000 (multiplicity 2)
Na 0.000 0.169 0.000 (multiplicity 4)
Cl 0.000 0.413 0.500 (multiplicity 4)

Peak list (10 most intense, 15 to 90 degrees two-theta, by intensity)
2θ 36.32, rel. 100
2θ 36.77, rel. 84
2θ 33.67, rel. 72
2θ 40.24, rel. 31
2θ 65.34, rel. 26
2θ 17.44, rel. 23
2θ 62.55, rel. 22
2θ 63.25, rel. 19
2θ 51.84, rel. 16
2θ 51.96, rel. 14

[10]
# Na3Cl2
Simulated X-ray diffraction stick pattern, CuKα. Input: DFT lattice parameters and positions (PBE).
Peak positions follow from Bragg's law for the DFT cell and can differ from measured ones.

Crystal structure
Lattice parameters (Å, degrees): 8.091 8.091 3.705 90.00 90.00 90.00
Space group P4/m (No. 83)
Inequivalent atoms, fractional coordinates:
Na 0.000 0.000 0.000 (multiplicity 1)
Na 0.115 0.674 0.500 (multiplicity 4)
Na 0.500 0.500 0.500 (multiplicity 1)
Cl 0.203 0.405 0.000 (multiplicity 4)

Peak list (10 most intense, 15 to 90 degrees two-theta, by intensity)
2θ 34.65, rel. 100
2θ 35.07, rel. 47
2θ 62.64, rel. 26
2θ 61.82, rel. 16
2θ 50.44, rel. 14
2θ 49.18, rel. 8
2θ 73.11, rel. 8
2θ 82.53, rel. 6
2θ 24.60, rel. 5
2θ 84.47, rel. 5

[11]
# NaCl
Simulated X-ray diffraction stick pattern, CuKα. Input: DFT lattice parameters and positions (PBE).
Peak positions follow from Bragg's law for the DFT cell and can differ from measured ones.

Crystal structure
Lattice parameters (Å, degrees): 5.692 5.692 5.692 90.00 90.00 90.00
Space group Fm-3m (No. 225)
Inequivalent atoms, fractional coordinates:
Na 0.000 0.000 0.000 (multiplicity 4)
Cl 0.000 0.000 0.500 (multiplicity 4)

Peak list (10 most intense, 15 to 90 degrees two-theta, by intensity)
2θ 31.43, rel. 100
2θ 45.05, rel. 66
2θ 74.56, rel. 25
2θ 55.96, rel. 21
2θ 83.14, rel. 18
2θ 65.61, rel. 9
2θ 27.14, rel. 8
2θ 53.39, rel. 2
2θ 89.47, rel. 1
2θ 72.37, rel. 1

[12]
# Na3NdCl6
Simulated X-ray diffraction stick pattern, CuKα. Input: DFT lattice parameters and positions (PBE).
Peak positions follow from Bragg's law for the DFT cell and can differ from measured ones.

Crystal structure
Lattice parameters (Å, degrees): 10.838 10.838 10.838 90.00 90.00 90.00
Space group Fm-3m (No. 225)
Inequivalent atoms, fractional coordinates:
Na 0.000 0.000 0.000 (multiplicity 4)
Na 0.250 0.250 0.250 (multiplicity 8)
Nd 0.000 0.000 0.500 (multiplicity 4)
Cl 0.000 0.000 0.250 (multiplicity 24)

Peak list (10 most intense, 15 to 90 degrees two-theta, by intensity)
2θ 16.36, rel. 100
2θ 33.06, rel. 86
2θ 47.46, rel. 57
2θ 37.10, rel. 48
2θ 23.21, rel. 46
2θ 27.29, rel. 43
2θ 50.53, rel. 24
2θ 79.02, rel. 23
2θ 40.79, rel. 23
2θ 36.13, rel. 21